Calculated powder XRD pattern
Compound: BaHg4
Radiation: Cu Kα (λ = 1.5418 Å)
Structure: a structure optimized by DFT (PBE)
Lines closer than 0.1° are merged.

Atomic structure:
```
data_BaHg4
_cell_length_a 4.797
_cell_length_b 4.797
_cell_length_c 13.275
_cell_angle_alpha 90.00
_cell_angle_beta 90.00
_cell_angle_gamma 90.00
_space_group_name_H-M_alt 'I 4/m m m'
_space_group_IT_number 139
_space_group_name_Hall '-I 4 2'
loop_
_atom_site_label
_atom_site_fract_x
_atom_site_fract_y
_atom_site_fract_z
_atom_site_occupancy
Ba1 0.000 0.000 0.000 1
Hg1 0.000 0.000 0.389 1
Hg2 0.000 0.500 0.250 1
```

Principal peaks in the range 2θ from 5° to 70°, low angle first:
| index | d (Å) | I/Imax |
| --- | --- | --- |
| 1 0 1 | 4.511 | 22 |
| 1 0 3 | 3.252 | 36 |
| 1 1 2 | 3.020 | 100 |
| 2 0 0 | 2.398 | 64 |
| 1 1 4 | 2.372 | 60 |
| 1 0 5 | 2.323 | 35 |
| 2 2 0 | 1.696 | 23 |
| 2 1 5 | 1.669 | 25 |
| 3 1 2 | 1.479 | 24 |
| 3 1 4 | 1.380 | 22 |